Entry 1:
Simulated PXRD pattern of Ce2CoRu3 for Cu Kα X-rays, from the GGA-PBE geometry in the Materials Project.
Intensities are scaled so that the largest is 100.

Main lines, in order of falling intensity (2θ from 15° to 90°):
40.02 deg, d 2.253, rel. 100.0; 34.03 deg, d 2.634, rel. 34.8; 40.16 deg, d 2.246, rel. 28.4; 64.86 deg, d 1.438, rel. 26.6; 41.87 deg, d 2.158, rel. 26.4; 33.90 deg, d 2.644, rel. 19.4; 60.73 deg, d 1.525, rel. 16.7; 71.34 deg, d 1.322, rel. 16.1; 71.64 deg, d 1.317, rel. 15.9; 65.01 deg, d 1.435, rel. 10.1; 42.08 deg, d 2.147, rel. 8.6; 85.17 deg, d 1.139, rel. 6.3

Structure:
```
Ce2CoRu3
1.0
2.644 1.527 4.294
-2.644 1.527 4.294
0.000 -3.053 4.294
Ce Co Ru
2 1 3
direct
0.125 0.125 0.125
0.875 0.875 0.875
0.500 0.500 0.500
0.000 0.500 0.500
0.500 0.000 0.500
0.500 0.500 0.000
```


Entry 2:
Simulated PXRD pattern of Ce4CoS7 for Cu Kα X-rays, from the GGA-PBE geometry in the Materials Project.
Intensities are scaled so that the largest is 100.

Main lines, in order of falling intensity (2θ from 15° to 90°):
24.97 deg, d 3.566, rel. 100.0; 33.29 deg, d 2.691, rel. 43.0; 44.10 deg, d 2.053, rel. 38.6; 37.74 deg, d 2.384, rel. 34.1; 25.07 deg, d 3.552, rel. 21.0; 45.87 deg, d 1.978, rel. 19.6; 37.87 deg, d 2.376, rel. 17.6; 21.54 deg, d 4.125, rel. 15.5; 45.78 deg, d 1.982, rel. 14.5; 27.34 deg, d 3.262, rel. 10.0; 70.05 deg, d 1.343, rel. 8.6; 45.96 deg, d 1.975, rel. 8.3

Structure:
```
Ce4CoS7
1.0
9.504 0.000 0.000
0.000 7.103 0.000
-4.737 0.000 8.266
Ce Co S
8 2 14
direct
0.138 0.000 0.304
0.163 0.972 0.817
0.307 0.498 0.667
0.331 0.503 0.135
0.669 0.003 0.865
0.693 0.998 0.333
0.837 0.472 0.183
0.862 0.500 0.696
0.499 0.652 0.496
0.501 0.152 0.504
0.026 0.733 0.568
0.048 0.748 0.966
0.167 0.348 0.835
0.234 0.610 0.358
0.359 0.106 0.627
0.377 0.114 0.240
0.424 0.744 0.950
0.576 0.244 0.050
0.623 0.614 0.760
0.641 0.606 0.373
0.766 0.110 0.642
0.833 0.848 0.165
0.952 0.248 0.034
0.974 0.233 0.432
```


Entry 3:
Simulated PXRD pattern of CeCoSb3 for Cu Kα X-rays, from the GGA-PBE geometry in the Materials Project.
Intensities are scaled so that the largest is 100.

Main lines, in order of falling intensity (2θ from 15° to 90°):
35.26 deg, d 2.545, rel. 100.0; 41.63 deg, d 2.169, rel. 87.3; 32.24 deg, d 2.777, rel. 71.1; 32.71 deg, d 2.738, rel. 51.5; 36.50 deg, d 2.462, rel. 48.5; 28.40 deg, d 3.143, rel. 35.3; 55.97 deg, d 1.643, rel. 35.0; 36.08 deg, d 2.490, rel. 31.3; 29.67 deg, d 3.011, rel. 26.2; 51.16 deg, d 1.785, rel. 25.7; 30.23 deg, d 2.957, rel. 24.7; 29.36 deg, d 3.042, rel. 19.2

Structure:
```
CeCoSb3
1.0
12.571 0.000 0.000
0.000 6.190 0.000
0.000 0.000 12.168
Ce Co Sb
8 8 24
direct
0.198 0.228 0.250
0.198 0.272 0.750
0.201 0.750 0.000
0.201 0.750 0.500
0.799 0.250 0.000
0.799 0.250 0.500
0.802 0.728 0.250
0.802 0.772 0.750
0.400 0.037 0.636
0.400 0.037 0.864
0.400 0.463 0.136
0.400 0.463 0.364
0.600 0.537 0.636
0.600 0.537 0.864
0.600 0.963 0.136
0.600 0.963 0.364
0.002 0.012 0.624
0.002 0.012 0.876
0.002 0.488 0.124
0.002 0.488 0.376
0.276 0.250 0.000
0.276 0.250 0.500
0.280 0.733 0.250
0.280 0.767 0.750
0.445 0.116 0.250
0.445 0.384 0.750
0.472 0.750 0.000
0.472 0.750 0.500
0.528 0.250 0.000
0.528 0.250 0.500
0.555 0.616 0.250
0.555 0.884 0.750
0.720 0.233 0.250
0.720 0.267 0.750
0.724 0.750 0.000
0.724 0.750 0.500
0.998 0.512 0.624
0.998 0.512 0.876
0.998 0.988 0.124
0.998 0.988 0.376
```